(1)
Starting from DFT lattice parameters and positions (GGA-PBE), the XRD peak list of Ga3Ni7Ge2 was computed for Cu Kα, 1.54184 Å.
Lines closer than 0.1° are merged.

Atomic structure:
a = 4.131 Å, b = 18.599 Å, c = 4.136 Å
α = 90.00°, β = 90.00°, γ = 90.00°
Space group Cmmm (No. 65)
Symmetry-distinct sites (fractional):
1 Ga 0.000 0.000 0.000 [2 per cell]
2 Ga 0.000 0.157 0.000 [4 per cell]
3 Ni 0.000 0.076 0.500 [4 per cell]
4 Ni 0.000 0.217 0.500 [4 per cell]
5 Ni 0.000 0.424 0.000 [4 per cell]
6 Ni 0.000 0.500 0.500 [2 per cell]
7 Ge 0.000 0.350 0.500 [4 per cell]

Most intense lines, 10° ≤ 2θ ≤ 90°, sorted by position:
- 39.20°, I 16, hkl 1 5 1
- 43.80°, I 65, hkl 2 0 0
- 46.17°, I 100, hkl 1 7 1
- 63.67°, I 20, hkl 2 0 2
- 82.18°, I 34, hkl 3 7 1
- 87.23°, I 11, hkl 2 14 0

---

(2)
Starting from DFT lattice parameters and positions (GGA-PBE), the XRD peak list of Ce2Pu3Au3 was computed for Cu Kα, 1.54184 Å.
Lines closer than 0.1° are merged.

Atomic structure:
a = 5.554 Å, b = 12.205 Å, c = 5.677 Å
α = 90.00°, β = 93.31°, γ = 90.00°
Space group P2_1/m (No. 11)
Symmetry-distinct sites (fractional):
1 Ce 0.069 0.113 0.289 [4 per cell]
2 Pu 0.391 0.505 0.749 [4 per cell]
3 Pu 0.394 0.250 0.898 [2 per cell]
4 Au 0.130 0.630 0.217 [4 per cell]
5 Au 0.438 0.750 0.592 [2 per cell]

Most intense lines, 10° ≤ 2θ ≤ 90°, sorted by position:
- 31.57°, I 33, hkl 0 0 2
- 33.52°, I 100, hkl 1 4 0
- 35.21°, I 37, hkl 2 0 -1
- 36.77°, I 33, hkl 1 4 -1
- 36.91°, I 49, hkl 2 0 1
- 37.60°, I 35, hkl 1 4 1

---

(3)
Starting from DFT lattice parameters and positions (GGA-PBE), the XRD peak list of Dy2YGa2Cu2 was computed for Cu Kα, 1.54184 Å.
Lines closer than 0.1° are merged.

Atomic structure:
a = 4.3708 Å, b = 4.3708 Å, c = 27.5308 Å
α = 90.00°, β = 90.00°, γ = 120.00°
Space group R-3m (No. 166, hexagonal axes)
Symmetry-distinct sites (fractional):
1 Dy 0.0000 0.0000 0.1240 [6 per cell]
2 Y 0.0000 0.0000 0.0000 [3 per cell]
3 Ga 0.0000 0.0000 0.2636 [6 per cell]
4 Cu 0.0000 0.0000 0.3985 [6 per cell]

Most intense lines, 10° ≤ 2θ ≤ 90°, sorted by position:
- 23.73°, I 31, hkl 1 0 1
- 32.84°, I 65, hkl 1 0 7
- 35.25°, I 100, hkl 0 1 8
- 41.31°, I 93, hkl 1 1 0
- 55.40°, I 27, hkl 2 0 8
- 66.53°, I 30, hkl 1 1 15

---

(4)
Starting from DFT lattice parameters and positions (GGA-PBE), the XRD peak list of Li2AgF4 was computed for Cu Kα, 1.54184 Å.
Lines closer than 0.1° are merged.

Atomic structure:
a = 11.303 Å, b = 5.959 Å, c = 5.116 Å
α = 90.00°, β = 106.38°, γ = 90.00°
Space group C2/c (No. 15)
Symmetry-distinct sites (fractional):
1 Li 0.000 0.117 0.250 [4 per cell]
2 Li 0.000 0.373 0.750 [4 per cell]
3 Ag 0.250 0.250 0.500 [4 per cell]
4 F 0.101 0.128 0.640 [8 per cell]
5 F 0.106 0.376 0.166 [8 per cell]

Most intense lines, 10° ≤ 2θ ≤ 90°, sorted by position:
- 16.35°, I 52, hkl 2 0 0
- 23.12°, I 100, hkl 1 1 -1
- 26.56°, I 68, hkl 1 1 1
- 29.99°, I 25, hkl 0 2 0
- 30.23°, I 47, hkl 3 1 -1
- 34.34°, I 34, hkl 2 2 0

---

(5)
Starting from DFT lattice parameters and positions (GGA-PBE), the XRD peak list of Cs4ZnAu4 was computed for Cu Kα, 1.54184 Å.
Lines closer than 0.1° are merged.

Atomic structure:
a = 7.402 Å, b = 7.402 Å, c = 14.760 Å
α = 90.00°, β = 90.00°, γ = 90.00°
Space group I-42m (No. 121)
Symmetry-distinct sites (fractional):
1 Cs 0.216 0.216 0.363 [8 per cell]
2 Zn 0.000 0.000 0.000 [2 per cell]
3 Au 0.207 0.207 0.108 [8 per cell]

Most intense lines, 10° ≤ 2θ ≤ 90°, sorted by position:
- 24.07°, I 100, hkl 0 0 4
- 27.62°, I 26, hkl 2 1 1
- 32.61°, I 23, hkl 2 1 3
- 34.30°, I 84, hkl 2 0 4
- 42.34°, I 19, hkl 2 2 4
- 54.41°, I 19, hkl 4 1 3

---

(6)
Starting from DFT lattice parameters and positions (GGA-PBE), the XRD peak list of HoBi5Rh3 was computed for Cu Kα, 1.54184 Å.
Lines closer than 0.1° are merged.

Atomic structure:
a = 12.239 Å, b = 8.924 Å, c = 9.795 Å
α = 90.00°, β = 111.45°, γ = 90.00°
Space group C2/m (No. 12)
Symmetry-distinct sites (fractional):
1 Ho 0.101 0.000 0.296 [4 per cell]
2 Bi 0.000 0.299 0.000 [4 per cell]
3 Bi 0.067 0.500 0.368 [4 per cell]
4 Bi 0.176 0.200 0.643 [8 per cell]
5 Bi 0.232 0.000 0.033 [4 per cell]
6 Rh 0.000 0.000 0.000 [2 per cell]
7 Rh 0.000 0.000 0.500 [2 per cell]
8 Rh 0.166 0.500 0.164 [4 per cell]
9 Rh 0.171 0.500 0.673 [4 per cell]

Most intense lines, 10° ≤ 2θ ≤ 90°, sorted by position:
- 28.37°, I 23, hkl 2 2 -2
- 29.24°, I 100, hkl 2 2 1
- 29.39°, I 31, hkl 0 0 3
- 38.48°, I 33, hkl 3 3 0
- 43.17°, I 23, hkl 4 0 2
- 48.46°, I 23, hkl 5 3 -2

---

(7)
Starting from DFT lattice parameters and positions (GGA-PBE), the XRD peak list of HfTiRu was computed for Cu Kα, 1.54184 Å.
Lines closer than 0.1° are merged.

Atomic structure:
a = 5.416 Å, b = 5.461 Å, c = 7.010 Å
α = 90.00°, β = 90.00°, γ = 90.00°
Space group Imma (No. 74)
Symmetry-distinct sites (fractional):
1 Hf 0.000 0.250 0.134 [4 per cell]
2 Ti 0.250 0.250 0.750 [4 per cell]
3 Ru 0.000 0.000 0.500 [4 per cell]

Most intense lines, 10° ≤ 2θ ≤ 90°, sorted by position:
- 20.62°, I 35, hkl 0 1 1
- 33.08°, I 44, hkl 2 0 0
- 34.63°, I 88, hkl 1 1 2
- 39.12°, I 100, hkl 1 2 1
- 39.30°, I 65, hkl 2 1 1
- 42.10°, I 69, hkl 1 0 3

---

(8)
Starting from DFT lattice parameters and positions (GGA-PBE), the XRD peak list of Er3Au2 was computed for Cu Kα, 1.54184 Å.
Lines closer than 0.1° are merged.

Atomic structure:
a = 8.107 Å, b = 8.107 Å, c = 3.761 Å
α = 90.00°, β = 90.00°, γ = 90.00°
Space group P4/mbm (No. 127)
Symmetry-distinct sites (fractional):
1 Er 0.000 0.000 0.000 [2 per cell]
2 Er 0.162 0.338 0.500 [4 per cell]
3 Au 0.135 0.635 0.000 [4 per cell]

Most intense lines, 10° ≤ 2θ ≤ 90°, sorted by position:
- 32.47°, I 14, hkl 2 0 1
- 34.36°, I 100, hkl 2 1 1
- 35.00°, I 49, hkl 3 1 0
- 48.40°, I 13, hkl 0 0 2
- 61.12°, I 20, hkl 3 1 2
- 66.96°, I 19, hkl 5 2 1